This entry pairs a crystal structure of Ce2Th3Sn3 with its simulated powder diffractogram. Radiation: Cu Kα, 1.54184 Å. Structure: a DFT-relaxed cell (GGA-PBE, Alexandria).
Peak positions follow from Bragg's law for the DFT cell and can differ from measured ones.

Crystal structure
```
16
Lattice="9.432 0.000 0.000 -4.716 8.168 0.000 0.000 0.000 6.235" Properties=species:S:1:pos:R:3 pbc="T T T"
Ce 0.000 5.445 0.000
Ce 0.000 5.445 3.118
Ce 4.716 2.723 0.000
Ce 4.716 2.723 3.118
Th -1.162 2.012 1.559
Th -3.554 6.156 4.676
Th 2.324 0.000 1.559
Th 1.162 2.012 4.676
Th 7.108 0.000 4.676
Th 3.554 6.156 1.559
Sn -1.851 3.206 4.676
Sn -2.865 4.962 1.559
Sn 3.702 0.000 4.676
Sn 1.851 3.206 1.559
Sn 5.729 0.000 1.559
Sn 2.865 4.962 4.676
```

Principal peaks in the range 10 to 90 degrees two-theta, in order of rising 2θ:
2θ/deg	I/Imax
28.6	17.5
28.9	27.1
32.4	100.0
32.9	31.8
34.5	49.2
53.1	25.5

=====

This entry pairs a crystal structure of Tm5SbIr2 with its simulated powder diffractogram. Radiation: Cu Kα, 1.54184 Å. Structure: a DFT-relaxed cell (GGA-PBE, Alexandria).
Peak positions follow from Bragg's law for the DFT cell and can differ from measured ones.

Crystal structure
```
16
Lattice="-3.845 3.845 6.630 3.845 -3.845 6.630 3.845 3.845 -6.630" Properties=species:S:1:pos:R:3 pbc="T T T"
Tm 0.000 0.000 0.000
Tm 5.047 1.202 -1.778
Tm 1.202 2.642 -1.778
Tm 5.047 1.202 1.778
Tm 1.202 2.642 1.778
Tm 0.000 0.000 6.630
Tm 2.642 1.202 4.852
Tm -1.202 2.642 4.852
Tm 2.642 1.202 8.408
Tm -1.202 2.642 8.408
Sb 0.000 0.000 3.315
Sb 0.000 0.000 9.945
Ir 2.769 1.076 0.000
Ir 2.769 -1.076 6.630
Ir 1.076 4.921 0.000
Ir 1.076 2.769 6.630
```

Principal peaks in the range 10 to 90 degrees two-theta, in order of rising 2θ:
2θ/deg	I/Imax
13.4	23.5
33.0	100.0
35.8	16.6
37.0	51.1
43.1	25.5
69.1	21.0

=====

This entry pairs a crystal structure of CeNdCoI with its simulated powder diffractogram. Radiation: Cu Kα, 1.54184 Å. Structure: a DFT-relaxed cell (GGA-PBE, Alexandria).
Peak positions follow from Bragg's law for the DFT cell and can differ from measured ones.

Crystal structure
```
4
Lattice="3.395 -2.111 0.000 3.395 2.111 0.000 -2.645 0.000 7.955" Properties=species:S:1:pos:R:3 pbc="T T T"
Ce 0.000 0.000 0.000
Nd 4.151 0.000 2.861
Co 1.894 0.000 1.177
I 1.835 0.000 5.397
```

Principal peaks in the range 10 to 90 degrees two-theta, in order of rising 2θ:
2θ/deg	I/Imax
29.4	59.4
30.8	100.0
33.1	34.4
33.8	26.4
42.8	24.6
45.5	38.8

=====

This entry pairs a crystal structure of Ti10CrSb5 with its simulated powder diffractogram. Radiation: Cu Kα, 1.54184 Å. Structure: a DFT-relaxed cell (GGA-PBE, Alexandria).
Peak positions follow from Bragg's law for the DFT cell and can differ from measured ones.

Crystal structure
```
16
Lattice="-5.252 5.252 2.630 5.252 -5.252 2.630 5.252 5.252 -2.630" Properties=species:S:1:pos:R:3 pbc="T T T"
Ti 5.252 0.000 0.000
Ti 4.466 2.984 -1.235
Ti 2.268 -0.786 1.395
Ti 2.984 6.038 -1.235
Ti 0.786 2.268 1.395
Ti 0.000 5.252 0.000
Ti 6.038 2.984 1.235
Ti 2.984 4.466 1.235
Ti 2.268 0.786 3.866
Ti -0.786 2.268 3.866
Cr 0.000 0.000 2.630
Sb 0.000 0.000 0.000
Sb 6.969 -1.716 1.315
Sb 3.536 1.716 1.315
Sb -1.716 3.536 1.315
Sb 1.716 6.969 1.315
```

Principal peaks in the range 10 to 90 degrees two-theta, in order of rising 2θ:
2θ/deg	I/Imax
25.4	65.0
35.2	22.9
38.3	91.9
39.3	100.0
49.9	24.9
50.6	35.3

=====

This entry pairs a crystal structure of Ho2TcH6 with its simulated powder diffractogram. Radiation: Cu Kα, 1.54184 Å. Structure: a DFT-relaxed cell (GGA-PBE, Alexandria).
Peak positions follow from Bragg's law for the DFT cell and can differ from measured ones.

Crystal structure
```
9
Lattice="0.000 3.528 3.528 3.528 0.000 3.528 3.528 3.528 0.000" Properties=species:S:1:pos:R:3 pbc="T T T"
Ho 1.764 1.764 1.764
Ho 5.293 5.293 5.293
Tc 0.000 0.000 0.000
H 3.528 3.528 1.782
H 3.528 1.782 3.528
H 5.275 3.528 3.528
H 1.782 3.528 3.528
H 3.528 5.275 3.528
H 3.528 3.528 5.275
```

Principal peaks in the range 10 to 90 degrees two-theta, in order of rising 2θ:
2θ/deg	I/Imax
25.2	33.7
36.0	100.0
51.8	18.4
58.5	14.0
64.7	36.3
87.4	16.4

=====

This entry pairs a crystal structure of TlHg6H3 with its simulated powder diffractogram. Radiation: Cu Kα, 1.54184 Å. Structure: a DFT-relaxed cell (GGA-PBE, Alexandria).
Peak positions follow from Bragg's law for the DFT cell and can differ from measured ones.

Crystal structure
```
20
Lattice="7.270 0.000 0.000 0.000 6.052 0.000 -3.591 0.000 10.371" Properties=species:S:1:pos:R:3 pbc="T T T"
Tl 0.000 0.000 0.000
Tl -1.796 3.026 5.185
Hg -1.255 0.026 3.750
Hg -3.051 3.000 8.935
Hg -0.717 1.263 10.305
Hg 1.078 1.763 5.119
Hg 2.178 4.254 2.215
Hg 0.382 4.825 7.401
Hg 3.297 1.227 2.970
Hg 1.501 1.799 8.155
Hg 2.601 4.289 5.251
Hg 4.396 4.789 0.066
Hg 6.730 3.053 1.436
Hg 4.934 6.026 6.621
H -0.725 1.427 2.401
H -2.521 1.599 7.586
H 1.839 0.000 5.185
H 3.635 3.026 0.000
H 6.200 4.454 2.784
H 4.404 4.625 7.969
```

Principal peaks in the range 10 to 90 degrees two-theta, in order of rising 2θ:
2θ/deg	I/Imax
25.9	44.0
28.8	53.1
29.8	45.7
30.0	33.3
32.3	100.0
38.8	29.8

=====

- Number 4 is which compound?
  Ti10CrSb5